AcY6Ho: theoretical powder XRD pattern (Cu Kα), based on DFT lattice parameters and positions (PBE).
Lines closer than 0.1° are merged.

The 8 most intense peaks (10 to 90 degrees two-theta), by angle:
- 5.945 Å, 2θ 14.90, I 39
- 3.075 Å, 2θ 29.04, I 33
- 3.031 Å, 2θ 29.47, I 33
- 2.980 Å, 2θ 29.99, I 75
- 2.962 Å, 2θ 30.17, I 100
- 2.952 Å, 2θ 30.28, I 45
- 2.811 Å, 2θ 31.83, I 29
- 2.766 Å, 2θ 32.37, I 27

Crystal structure
```
AcY6Ho
1.0
6.7374 0.0000 0.0000
-0.6259 6.8156 0.0000
-0.2167 -3.4385 5.9599
Ac Y Ho
1 6 1
Cartesian
0.0000 0.0000 0.0000
1.2729 2.1162 3.1018
1.4016 3.7127 0.2390
1.6876 -1.2275 3.2335
4.2072 4.6046 2.7264
4.4931 -0.3356 5.7209
4.6219 1.2609 2.8581
3.3687 0.0000 0.0000
```

=====

Ac2Y3Ho4: theoretical powder XRD pattern (Cu Kα), based on DFT lattice parameters and positions (PBE).
Lines closer than 0.1° are merged.

The 8 most intense peaks (10 to 90 degrees two-theta), by angle:
- 3.191 Å, 2θ 27.96, I 49
- 2.970 Å, 2θ 30.09, I 30
- 2.879 Å, 2θ 31.06, I 42
- 2.740 Å, 2θ 32.68, I 100
- 2.174 Å, 2θ 41.54, I 23
- 1.842 Å, 2θ 49.48, I 34
- 1.638 Å, 2θ 56.14, I 24
- 1.565 Å, 2θ 59.00, I 27

Crystal structure
```
Ac2Y3Ho4
1.0
3.6845 0.0000 0.0000
-1.8422 3.1909 0.0000
0.0000 0.0000 26.7281
Ac Y Ho
2 3 4
Cartesian
0.0000 0.0000 0.0000
0.0000 0.0000 6.1580
0.0000 0.0000 20.8866
0.0000 2.1272 3.1419
0.0000 2.1272 12.5217
0.0000 0.0000 9.7724
0.0000 0.0000 15.3234
0.0000 2.1272 18.0870
0.0000 2.1272 23.6710
```

=====

Ac7Y2Ho2: theoretical powder XRD pattern (Cu Kα), based on DFT lattice parameters and positions (PBE).
Lines closer than 0.1° are merged.

The 8 most intense peaks (10 to 90 degrees two-theta), by angle:
- 3.929 Å, 2θ 22.63, I 21
- 3.673 Å, 2θ 24.23, I 23
- 3.437 Å, 2θ 25.92, I 20
- 3.035 Å, 2θ 29.43, I 68
- 3.025 Å, 2θ 29.53, I 46
- 2.990 Å, 2θ 29.89, I 100
- 2.341 Å, 2θ 38.45, I 18
- 1.742 Å, 2θ 52.53, I 21

Crystal structure
```
Ac7Y2Ho2
1.0
7.3486 0.0000 0.0000
0.0000 6.0722 0.0000
-0.2630 0.0000 10.3081
Ac Y Ho
7 2 2
Cartesian
0.0000 0.0000 0.0000
-0.1710 3.0361 7.1549
3.3870 0.0000 8.5496
3.4749 3.0361 6.8079
3.6108 3.0361 3.5003
3.6986 0.0000 1.7585
7.2566 3.0361 3.1533
2.0480 3.0361 0.0235
5.0376 3.0361 10.2847
1.8108 0.0000 5.0930
5.2748 0.0000 5.2151
```

=====

Ac6Y2Ho: theoretical powder XRD pattern (Cu Kα), based on DFT lattice parameters and positions (PBE).
Lines closer than 0.1° are merged.

The 8 most intense peaks (10 to 90 degrees two-theta), by angle:
- 3.824 Å, 2θ 23.26, I 34
- 3.269 Å, 2θ 27.28, I 21
- 3.150 Å, 2θ 28.34, I 54
- 3.033 Å, 2θ 29.45, I 55
- 3.020 Å, 2θ 29.58, I 100
- 3.002 Å, 2θ 29.76, I 25
- 2.473 Å, 2θ 36.33, I 21
- 1.793 Å, 2θ 50.92, I 28

Crystal structure
```
Ac6Y2Ho
1.0
7.6475 -6.2993 0.0000
7.6475 6.2993 0.0000
-0.0547 0.0000 7.7328
Ac Y Ho
12 4 2
Cartesian
1.5536 0.0759 0.9955
1.5262 -0.0759 4.8619
5.4586 3.0941 0.9760
5.8594 2.8736 4.7426
9.3536 2.8736 6.8566
9.8091 3.0941 2.8905
5.4312 -3.0941 4.8424
5.8867 -2.8736 0.8762
9.3809 -2.8736 2.9902
9.7818 -3.0941 6.7569
13.7141 0.0759 2.8709
13.6867 -0.0759 6.7374
4.5519 0.0698 6.9214
4.5793 -0.0698 3.0549
10.6611 0.0698 4.6779
10.6884 -0.0698 0.8115
7.6338 0.3322 1.9332
7.6065 -0.3322 5.7996
```

=====

Ac2YHo2: theoretical powder XRD pattern (Cu Kα), based on DFT lattice parameters and positions (PBE).
Lines closer than 0.1° are merged.

The 8 most intense peaks (10 to 90 degrees two-theta), by angle:
- 3.283 Å, 2θ 27.17, I 23
- 2.976 Å, 2θ 30.03, I 36
- 2.876 Å, 2θ 31.09, I 100
- 2.864 Å, 2θ 31.23, I 49
- 2.207 Å, 2θ 40.89, I 16
- 1.896 Å, 2θ 47.98, I 20
- 1.699 Å, 2θ 53.96, I 21
- 1.600 Å, 2θ 57.61, I 17

Crystal structure
```
Ac2YHo2
1.0
6.5764 0.0000 0.0000
-3.2854 6.2529 0.0000
-0.0156 -3.3563 8.9880
Ac Y Ho
4 2 4
Cartesian
-1.0784 1.9351 1.3654
1.0542 0.2654 5.8368
2.2211 2.6313 3.1511
4.3538 0.9615 7.6225
2.1988 -1.9842 8.5126
1.0765 4.8809 0.4754
-2.1278 5.4092 2.2520
-1.0768 3.2145 4.9489
4.3522 -0.3178 4.0391
5.4031 -2.5125 6.7360
```

=====

AcYHo: theoretical powder XRD pattern (Cu Kα), based on DFT lattice parameters and positions (PBE).
Lines closer than 0.1° are merged.

The 8 most intense peaks (10 to 90 degrees two-theta), by angle:
- 4.974 Å, 2θ 17.83, I 11
- 3.146 Å, 2θ 28.37, I 10
- 3.106 Å, 2θ 28.74, I 13
- 3.006 Å, 2θ 29.72, I 60
- 2.861 Å, 2θ 31.27, I 100
- 2.455 Å, 2θ 36.60, I 15
- 1.706 Å, 2θ 53.73, I 20
- 1.612 Å, 2θ 57.16, I 11

Crystal structure
```
AcYHo
1.0
6.5038 0.0000 0.0000
0.0000 12.0219 0.0000
-2.9423 0.0000 5.4710
Ac Y Ho
4 4 4
Cartesian
0.6350 1.6019 0.8565
-0.8361 4.4090 3.5920
4.3976 7.6129 1.8790
2.9265 10.4199 4.6145
1.1675 7.3939 0.0778
-0.3036 10.6389 2.8133
3.8652 1.3830 2.6577
2.3940 4.6279 5.3932
1.1964 7.4175 3.6129
2.6676 10.6153 0.8774
0.8939 1.4065 4.5936
2.3651 4.6044 1.8581
```